ZnFe3P4O14: calculated X-ray diffraction stick pattern (copper Kα), based on a GGA+U-relaxed structure.

Structure:
```
44
Lattice="7.2604 0.0000 0.0000 0.0000 7.7602 0.0000 -3.3860 0.0000 8.9780" Properties=species:S:1:pos:R:3 pbc="T T T"
Zn 0.0000 0.0000 0.0000
Zn -1.6930 3.8801 4.4890
Fe 0.6400 1.0122 4.3604
Fe -1.0530 2.8679 8.8493
Fe 3.6302 0.0000 0.0000
Fe 1.9372 3.8801 4.4890
Fe 4.9273 4.8923 0.1286
Fe 3.2343 6.7480 4.6176
P -1.8202 0.5305 6.3467
P -0.1272 3.3495 1.8577
P 2.0010 5.4782 1.6960
P 0.3080 6.1621 6.1849
P 3.5664 1.5981 2.7930
P 1.8733 2.2820 7.2820
P 4.0016 4.4106 7.1202
P 5.6946 7.2296 2.6313
O -1.1153 1.5928 5.5044
O 0.5777 2.2873 1.0154
O -1.8073 4.1197 7.4179
O -0.1143 7.5206 2.9289
O 0.5624 4.7848 1.5439
O -1.1306 6.8555 6.0329
O -1.6410 0.7776 7.8991
O 0.0520 3.1024 3.4101
O 0.1692 4.8194 5.4526
O 1.8623 6.8209 0.9636
O 3.0189 4.5651 1.0124
O 1.3259 7.0752 5.5014
O 2.2227 5.5194 3.2271
O 0.5297 6.1209 7.7161
O 3.3447 1.6393 1.2619
O 1.6517 2.2408 5.7508
O 2.5485 0.6850 3.4765
O 0.8555 3.1951 7.9655
O 2.0121 0.9393 8.0144
O 3.7051 2.9408 3.5254
O 3.8224 4.6577 5.5678
O 5.5154 6.9825 1.0788
O 5.0050 0.9047 2.9451
O 3.3120 2.9754 7.4341
O 3.9887 0.2396 6.0491
O 5.6817 3.6405 1.5601
O 3.2967 5.4729 7.9625
O 4.9897 6.1674 3.4736
```

Principal peaks in the range 2θ = 10–90°, low angle first:
- 19.78°, intensity 51, (0 0 2)
- 29.16°, intensity 85, (2 1 -2)
- 29.77°, intensity 68, (1 1 2)
- 29.91°, intensity 100, (1 2 1)
- 30.30°, intensity 79, (1 1 -3)
- 33.39°, intensity 71, (2 1 1)
- 34.20°, intensity 71, (2 1 -3)
- 36.14°, intensity 72, (0 3 1)